TiNiP2O8: theoretical PXRD pattern (Cu Kα (weighted mean of Kα1 and Kα2)), based on a cell relaxed with GGA+U.

Structural model:
Cell: 4.884 5.890 9.937 Å, 90.00 91.15 90.00°
Atoms (fractional coordinates):
Ti: 0.036 0.250 0.226
Ti: 0.964 0.750 0.774
Ni: 0.456 0.250 0.726
Ni: 0.544 0.750 0.274
P: 0.067 0.750 0.098
P: 0.385 0.750 0.595
P: 0.615 0.250 0.405
P: 0.933 0.250 0.902
O: 0.145 0.750 0.946
O: 0.212 0.543 0.171
O: 0.212 0.957 0.171
O: 0.235 0.550 0.670
O: 0.235 0.950 0.670
O: 0.240 0.250 0.891
O: 0.307 0.250 0.364
O: 0.344 0.750 0.446
O: 0.656 0.250 0.554
O: 0.693 0.750 0.636
O: 0.760 0.750 0.109
O: 0.765 0.050 0.330
O: 0.765 0.450 0.330
O: 0.788 0.043 0.829
O: 0.788 0.457 0.829
O: 0.855 0.250 0.054

Peak list (10 most intense, 2θ = 10–80°, low angle first)
| index | d [Å] | I_rel |
| --- | --- | --- |
| 0 0 2 | 4.968 | 99 |
| 1 0 -1 | 4.417 | 50 |
| 1 0 1 | 4.348 | 77 |
| 0 1 2 | 3.797 | 36 |
| 1 1 -1 | 3.534 | 44 |
| 1 1 1 | 3.498 | 71 |
| 0 2 0 | 2.945 | 100 |
| 1 1 -3 | 2.504 | 72 |
| 1 1 3 | 2.466 | 57 |
| 2 2 -2 | 1.767 | 38 |